Calculated powder diffractogram of CaMg6W for Cu Kα (weighted mean of Kα1 and Kα2), from a structure optimized by DFT (PBE).
Neutral-atom scattering factors, no anomalous dispersion.

Largest 6 diffraction maxima, sorted by position, 2θ = 10–90°:
| two_theta | I_rel |
| --- | --- |
| 16.08 | 100 |
| 23.83 | 65 |
| 33.17 | 25 |
| 35.38 | 26 |
| 37.00 | 35 |
| 37.17 | 72 |

Structural model:
a = 5.0740 Å, b = 6.3798 Å, c = 6.3798 Å
α = 59.62°, β = 90.00°, γ = 90.00°
Fractional coordinates of all 8 atoms:
Ca: 0.0000 0.0000 0.0000
Mg: 0.0000 0.5073 0.5073
Mg: 0.0000 0.5282 0.9928
Mg: 0.0000 0.9928 0.5282
Mg: 0.5000 0.3387 0.3387
Mg: 0.5000 0.3487 0.8379
Mg: 0.5000 0.8379 0.3487
W: 0.5000 0.8356 0.8356


Calculated powder diffractogram of LiAc2Ge for Cu Kα (weighted mean of Kα1 and Kα2), from a structure optimized by DFT (PBE).
Neutral-atom scattering factors, no anomalous dispersion.

Largest 6 diffraction maxima, sorted by position, 2θ = 10–90°:
| two_theta | I_rel |
| --- | --- |
| 22.74 | 57 |
| 32.38 | 100 |
| 39.93 | 18 |
| 46.44 | 19 |
| 52.31 | 26 |
| 57.75 | 40 |

Structural model:
a = 5.5305 Å, b = 5.5305 Å, c = 5.5305 Å
α = 60.00°, β = 60.00°, γ = 60.00°
Fractional coordinates of all 4 atoms:
Li: 0.0000 0.0000 0.0000
Ac: 0.2500 0.2500 0.2500
Ac: 0.7500 0.7500 0.7500
Ge: 0.5000 0.5000 0.5000


Calculated powder diffractogram of Be6Al4Si12O37 for Cu Kα (weighted mean of Kα1 and Kα2), from a structure optimized by DFT (PBE).
Neutral-atom scattering factors, no anomalous dispersion.

Largest 6 diffraction maxima, sorted by position, 2θ = 10–90°:
| two_theta | I_rel |
| --- | --- |
| 10.98 | 100 |
| 19.12 | 29 |
| 22.10 | 22 |
| 27.14 | 79 |
| 29.36 | 24 |
| 30.91 | 73 |

Structural model:
a = 9.3018 Å, b = 9.3018 Å, c = 9.2819 Å
α = 90.00°, β = 90.00°, γ = 120.00°
Fractional coordinates of all 59 atoms:
Be: 0.0000 0.5000 0.0000
Be: 0.0000 0.5000 0.5000
Be: 0.5000 0.0000 0.0000
Be: 0.5000 0.0000 0.5000
Be: 0.5000 0.5000 0.0000
Be: 0.5000 0.5000 0.5000
Al: 0.3333 0.6667 0.0000
Al: 0.3333 0.6667 0.5000
Al: 0.6667 0.3333 0.0000
Al: 0.6667 0.3333 0.5000
Si: 0.1153 0.3875 0.2500
Si: 0.1153 0.7279 0.7500
Si: 0.2721 0.3875 0.7500
Si: 0.2721 0.8847 0.2500
Si: 0.3875 0.1153 0.7500
Si: 0.3875 0.2721 0.2500
Si: 0.6125 0.7279 0.2500
Si: 0.6125 0.8847 0.7500
Si: 0.7279 0.1153 0.2500
Si: 0.7279 0.6125 0.7500
Si: 0.8847 0.2721 0.7500
Si: 0.8847 0.6125 0.2500
O: 0.0000 0.0000 0.5000
O: 0.0739 0.3097 0.7501
O: 0.0739 0.7642 0.2499
O: 0.1445 0.4983 0.1043
O: 0.1445 0.4983 0.3957
O: 0.1445 0.6462 0.6043
O: 0.1445 0.6462 0.8957
O: 0.2358 0.3097 0.2499
O: 0.2358 0.9261 0.7501
O: 0.3097 0.0739 0.2499
O: 0.3097 0.2358 0.7501
O: 0.3538 0.4983 0.6043
O: 0.3538 0.4983 0.8957
O: 0.3538 0.8555 0.1043
O: 0.3538 0.8555 0.3957
O: 0.4983 0.1445 0.6043
O: 0.4983 0.1445 0.8957
O: 0.4983 0.3538 0.1043
O: 0.4983 0.3538 0.3957
O: 0.5017 0.6462 0.1043
O: 0.5017 0.6462 0.3957
O: 0.5017 0.8555 0.6043
O: 0.5017 0.8555 0.8957
O: 0.6462 0.1445 0.1043
O: 0.6462 0.1445 0.3957
O: 0.6462 0.5017 0.6043
O: 0.6462 0.5017 0.8957
O: 0.6903 0.7642 0.7501
O: 0.6903 0.9261 0.2499
O: 0.7642 0.0739 0.7501
O: 0.7642 0.6903 0.2499
O: 0.8555 0.3538 0.6043
O: 0.8555 0.3538 0.8957
O: 0.8555 0.5017 0.1043
O: 0.8555 0.5017 0.3957
O: 0.9261 0.2358 0.2499
O: 0.9261 0.6903 0.7501